Record 1
For H6AuC3SN, a DFT-relaxed cell (PBE, OQMD) gives the theoretical XRD peak list in this record (copper Kα).

Cell and atoms:
```
data_H6AuC3SN
_chemical_formula_sum 'H24 Au4 C12 S4 N4'
_space_group_name_H-M_alt 'P 1 21/c 1'
_space_group_IT_number 14
_cell_length_a 5.6495
_cell_length_b 15.3587
_cell_length_c 7.9236
_cell_angle_alpha 90.00
_cell_angle_beta 121.31
_cell_angle_gamma 90.00
loop_
_space_group_symop_operation_xyz
'x,y,z'
'-x,-y,-z'
'-x,y+1/2,-z+1/2'
'x,-y+1/2,z+1/2'
loop_
_atom_site_label
_atom_site_fract_x
_atom_site_fract_y
_atom_site_fract_z
_atom_site_occupancy
H1 0.0631 0.1108 0.0298 1
H2 0.1899 0.2197 0.1198 1
H3 0.1986 0.6792 0.8178 1
H4 0.2141 0.6686 0.0489 1
H5 0.3929 0.7435 0.5129 1
H6 0.4229 0.1375 0.1272 1
Au1 0.3230 0.1125 0.4140 1
C1 0.2103 0.0135 0.7256 1
C2 0.2396 0.1501 0.1367 1
C3 0.3286 0.6883 0.9782 1
S1 0.4565 0.0802 0.7592 1
N1 0.0350 0.5354 0.2023 1
```

Principal peaks in the range 10° ≤ 2θ ≤ 80°, low angle first:
two_theta, Rel. int.
14.30, 100.0
17.10, 43.0
17.46, 25.6
19.28, 41.5
19.83, 40.4
22.95, 27.8
23.16, 36.1
23.72, 28.1
25.36, 45.5
34.37, 32.9
34.53, 24.9
41.72, 21.6

Record 2
For NaH12AuC4S4O12, a DFT-relaxed cell (PBE, OQMD) gives the theoretical XRD peak list in this record (copper Kα).

Cell and atoms:
```
data_NaH12AuC4S4O12
_chemical_formula_sum 'Na1 H12 Au1 C4 S4 O12'
_space_group_name_H-M_alt 'P -1'
_space_group_IT_number 2
_cell_length_a 5.2229
_cell_length_b 8.4665
_cell_length_c 9.3848
_cell_angle_alpha 73.30
_cell_angle_beta 76.31
_cell_angle_gamma 79.25
loop_
_space_group_symop_operation_xyz
'x,y,z'
'-x,-y,-z'
loop_
_atom_site_label
_atom_site_fract_x
_atom_site_fract_y
_atom_site_fract_z
_atom_site_occupancy
Na1 0.0000 0.0000 0.0000 1
H1 0.2299 0.5513 0.2989 1
H2 0.3068 0.9999 0.3659 1
H3 0.3240 0.6663 0.4084 1
H4 0.3629 0.1930 0.3882 1
H5 0.4382 0.1569 0.2014 1
H6 0.4545 0.5110 0.6390 1
Au1 0.0000 0.5000 0.0000 1
C1 0.3080 0.1330 0.3129 1
C2 0.3961 0.5928 0.3246 1
S1 0.0180 0.7861 0.7096 1
S2 0.4518 0.2733 0.8415 1
O1 0.0129 0.5943 0.7741 1
O2 0.0899 0.8525 0.8187 1
O3 0.1910 0.8060 0.5615 1
O4 0.2186 0.2247 0.8145 1
O5 0.3485 0.8588 0.1047 1
O6 0.3724 0.3766 0.9623 1
```

Principal peaks in the range 10° ≤ 2θ ≤ 80°, low angle first:
two_theta, Rel. int.
10.03, 100.0
11.00, 28.5
12.87, 33.0
17.62, 19.2
18.94, 54.0
24.49, 15.9
24.94, 13.6
25.39, 18.4
25.90, 19.6
26.58, 21.1
31.60, 14.1
35.11, 14.2